Entry 1:
For Li5Cr2Co3O10, DFT lattice parameters and positions (GGA+U) gives the computed X-ray diffraction stick pattern in this record (Cu Ka).
Intensities are scaled so that the largest is 100.

Structural model:
Lattice parameters (Å, degrees): 5.0762 7.7739 10.1599 102.98 99.46 108.69
Element x y z (fractional)
Li 0.0000 0.0000 0.0000
Li 0.0068 0.9974 0.5071
Li 0.2148 0.1938 0.8111
Li 0.2224 0.1991 0.3060
Li 0.4221 0.9138 0.3588
Li 0.4312 0.9157 0.8579
Li 0.6187 0.6246 0.4059
Li 0.6256 0.6240 0.9100
Li 0.8304 0.8255 0.2102
Li 0.8393 0.8286 0.7127
Cr 0.2232 0.7146 0.0576
Cr 0.2254 0.7154 0.5570
Cr 0.6169 0.1078 0.1548
Cr 0.6207 0.1061 0.6631
Co 0.0225 0.5259 0.2631
Co 0.0240 0.5212 0.7643
Co 0.4191 0.4101 0.1052
Co 0.4211 0.4098 0.6087
Co 0.8189 0.3001 0.4532
Co 0.8188 0.3102 0.9582
O 0.0135 0.2709 0.6346
O 0.0195 0.2780 0.1254
O 0.0256 0.7473 0.3807
O 0.0266 0.7433 0.8801
O 0.2025 0.4554 0.9429
O 0.2118 0.4621 0.4358
O 0.2360 0.9560 0.6778
O 0.2365 0.9598 0.1750
O 0.4024 0.6410 0.2178
O 0.4105 0.6412 0.7199
O 0.4339 0.1803 0.4980
O 0.4512 0.1846 0.9927
O 0.6028 0.8615 0.0379
O 0.6058 0.8642 0.5384
O 0.6191 0.3594 0.2692
O 0.6375 0.3573 0.7867
O 0.8104 0.5441 0.0805
O 0.8153 0.0806 0.3331
O 0.8175 0.0790 0.8375
O 0.8297 0.5493 0.5806

The 12 most intense peaks (15° ≤ 2θ ≤ 90°), low angle first:
| d (Å) | I_rel |
| --- | --- |
| 4.782 | 100 |
| 3.865 | 21 |
| 3.347 | 35 |
| 2.975 | 21 |
| 2.501 | 33 |
| 2.391 | 20 |
| 2.081 | 60 |
| 2.077 | 58 |
| 2.069 | 55 |
| 1.472 | 31 |
| 1.469 | 19 |
| 1.462 | 15 |

---

Entry 2:
For Li4Cr3CoO8, DFT lattice parameters and positions (GGA+U) gives the computed X-ray diffraction stick pattern in this record (Cu Ka).
Intensities are scaled so that the largest is 100.

Structural model:
Lattice parameters (Å, degrees): 5.8968 6.6211 8.8802 81.77 70.74 63.78
Element x y z (fractional)
Li 0.2441 0.4916 0.4990
Li 0.2505 0.9981 0.0014
Li 0.2505 0.2504 0.2521
Li 0.2538 0.7506 0.7501
Li 0.7462 0.2494 0.2499
Li 0.7495 0.7496 0.7479
Li 0.7495 0.0019 0.9986
Li 0.7559 0.5084 0.5010
Cr 0.0000 0.0000 0.5000
Cr 0.0000 0.5000 0.0000
Cr 0.0015 0.7495 0.2512
Cr 0.4985 0.2494 0.7498
Cr 0.5015 0.7506 0.2502
Cr 0.9985 0.2505 0.7488
Co 0.5000 0.0000 0.5000
Co 0.5000 0.5000 0.0000
O 0.1176 0.2408 0.5091
O 0.1288 0.4838 0.7586
O 0.1308 0.7342 0.0084
O 0.1311 0.9838 0.2585
O 0.3668 0.0163 0.7413
O 0.3711 0.2641 0.9912
O 0.3707 0.5168 0.2456
O 0.3756 0.7759 0.4924
O 0.6244 0.2241 0.5076
O 0.6293 0.4832 0.7544
O 0.6289 0.7359 0.0088
O 0.6332 0.9837 0.2587
O 0.8689 0.0162 0.7415
O 0.8692 0.2658 0.9916
O 0.8712 0.5162 0.2414
O 0.8824 0.7592 0.4909

The 12 most intense peaks (15° ≤ 2θ ≤ 90°), low angle first:
| d (Å) | I_rel |
| --- | --- |
| 4.853 | 100 |
| 2.526 | 14 |
| 2.523 | 14 |
| 2.513 | 13 |
| 2.417 | 8 |
| 2.096 | 53 |
| 2.088 | 26 |
| 1.921 | 9 |
| 1.485 | 7 |
| 1.482 | 21 |
| 1.477 | 7 |
| 1.474 | 7 |

---

Entry 3:
For Li3CrCo3O8, DFT lattice parameters and positions (GGA+U) gives the computed X-ray diffraction stick pattern in this record (Cu Ka).
Intensities are scaled so that the largest is 100.

Structural model:
Lattice parameters (Å, degrees): 5.9210 5.9210 10.1386 106.92 106.92 59.00
Element x y z (fractional)
Li 0.0004 0.4995 0.2500
Li 0.2502 0.2502 0.0001
Li 0.2506 0.2500 0.4997
Li 0.5005 0.9996 0.7500
Li 0.7500 0.7494 0.5003
Li 0.7498 0.7498 0.9999
Cr 0.2474 0.7526 0.0000
Cr 0.7518 0.2482 0.5000
Co 0.0008 0.9993 0.2498
Co 0.0007 0.9992 0.7502
Co 0.2507 0.7493 0.5000
Co 0.5005 0.4992 0.2500
Co 0.5008 0.4995 0.7500
Co 0.7489 0.2511 0.0000
O 0.0935 0.1219 0.1148
O 0.1217 0.0935 0.6150
O 0.1410 0.6356 0.1319
O 0.1421 0.6433 0.6180
O 0.3567 0.8579 0.3820
O 0.3644 0.8590 0.8681
O 0.3803 0.4056 0.3861
O 0.4061 0.3802 0.8862
O 0.5944 0.6197 0.6139
O 0.6198 0.5939 0.1138
O 0.6361 0.1407 0.6320
O 0.6424 0.1430 0.1177
O 0.8570 0.3576 0.8823
O 0.8593 0.3639 0.3680
O 0.8781 0.9065 0.8852
O 0.9065 0.8783 0.3850

The 12 most intense peaks (15° ≤ 2θ ≤ 90°), low angle first:
| d (Å) | I_rel |
| --- | --- |
| 4.857 | 100 |
| 2.500 | 13 |
| 2.489 | 25 |
| 2.390 | 12 |
| 2.087 | 22 |
| 2.073 | 43 |
| 1.913 | 8 |
| 1.604 | 10 |
| 1.480 | 11 |
| 1.462 | 12 |
| 1.397 | 9 |
| 1.195 | 8 |

---

Which formula does entry 3 have? Li3CrCo3O8

---

Which formula does entry 3 have? Li3CrCo3O8